(1)
Co3P4O14: simulated X-ray diffraction stick pattern (copper Kα), based on DFT lattice parameters and positions (PBE+U).
Intensities are scaled so that the largest is 100.

Principal peaks in the range 15 to 90 degrees two-theta, in order of rising 2θ:
two_theta  I/Imax  index
17.38  45  0 1 2
19.38  36  0 1 -2
22.04  47  1 0 -2
25.86  51  1 0 -3
26.78  81  1 0 4
29.41  34  0 2 1
30.09  94  1 2 2
30.29  43  1 0 -4
31.31  100  1 0 5
57.22  31  -2 1 6

Crystal structure
a = 5.294 Å, b = 6.364 Å, c = 16.244 Å
α = 81.26°, β = 80.74°, γ = 73.24°
Space group P-1 (No. 2)
Asymmetric unit:
Co 0.044 0.122 0.319
Co 0.208 0.774 0.094
Co 0.230 0.463 0.830
P 0.177 0.608 0.290
P 0.299 0.279 0.044
P 0.369 0.926 0.819
P 0.436 0.267 0.422
O 0.004 0.539 0.718
O 0.020 0.829 0.321
O 0.115 0.486 0.083
O 0.168 0.092 0.054
O 0.181 0.153 0.839
O 0.219 0.787 0.787
O 0.265 0.835 0.593
O 0.272 0.122 0.400
O 0.341 0.333 0.509
O 0.356 0.638 0.205
O 0.371 0.062 0.232
O 0.381 0.487 0.354
O 0.410 0.340 0.953
O 0.434 0.796 0.911

(2)
Co3P2O9: simulated X-ray diffraction stick pattern (copper Kα), based on DFT lattice parameters and positions (PBE+U).
Intensities are scaled so that the largest is 100.

Principal peaks in the range 15 to 90 degrees two-theta, in order of rising 2θ:
two_theta  I/Imax  index
15.15  33  1 1 0
22.37  25  0 2 0
23.45  73  2 1 0
24.71  21  0 2 1
29.23  39  2 1 1
30.85  27  0 2 2
31.07  27  3 0 0
31.54  100  2 1 -3
35.46  51  1 3 0
46.54  21  3 1 2

Crystal structure
a = 9.564 Å, b = 7.949 Å, c = 9.386 Å
α = 90.00°, β = 115.46°, γ = 90.00°
Space group P2_1/c (No. 14)
Asymmetric unit:
Co 0.082 0.183 0.034
Co 0.265 0.593 0.035
Co 0.390 0.607 0.406
P 0.015 0.512 0.204
P 0.376 0.538 0.732
O 0.010 0.008 0.866
O 0.030 0.662 0.883
O 0.119 0.128 0.409
O 0.176 0.574 0.223
O 0.283 0.127 0.188
O 0.319 0.658 0.585
O 0.355 0.635 0.867
O 0.414 0.129 0.969
O 0.451 0.508 0.216

(3)
Co2P3O10: simulated X-ray diffraction stick pattern (copper Kα), based on DFT lattice parameters and positions (PBE+U).
Intensities are scaled so that the largest is 100.

Principal peaks in the range 15 to 90 degrees two-theta, in order of rising 2θ:
two_theta  I/Imax  index
20.07  30  0 0 2
22.88  21  1 0 1
25.20  27  1 1 1
25.70  42  1 0 -2
28.49  100  1 2 0
31.70  41  1 1 2
33.27  23  0 3 1
33.53  45  1 0 -3
37.15  27  0 2 3
44.04  36  1 3 2

Crystal structure
a = 4.698 Å, b = 8.483 Å, c = 8.943 Å
α = 90.00°, β = 98.39°, γ = 90.00°
Space group P2_1/m (No. 11)
Asymmetric unit:
Co 0.052 0.069 0.328
P 0.331 0.250 0.813
P 0.389 0.750 0.463
P 0.476 0.250 0.147
O 0.171 0.098 0.791
O 0.214 0.750 0.766
O 0.224 0.598 0.488
O 0.302 0.250 0.450
O 0.310 0.101 0.177
O 0.410 0.750 0.286
O 0.470 0.750 0.025

(4)
Co3P4O14: simulated X-ray diffraction stick pattern (copper Kα), based on DFT lattice parameters and positions (PBE+U).
Intensities are scaled so that the largest is 100.

Principal peaks in the range 15 to 90 degrees two-theta, in order of rising 2θ:
two_theta  I/Imax  index
17.93  32  1 0 -1
19.04  100  0 1 -2
23.94  65  1 0 3
26.77  80  0 2 2
27.89  90  1 -1 3
30.18  24  1 -2 1
30.82  60  1 1 -3
34.31  43  2 1 0
35.78  34  2 -1 2
36.44  30  1 1 5

Crystal structure
a = 5.661 Å, b = 7.286 Å, c = 13.471 Å
α = 83.99°, β = 82.59°, γ = 89.46°
Space group P1 (No. 1)
Asymmetric unit:
Co 0.000 0.000 0.000
Co 0.083 0.676 0.258
Co 0.186 0.352 0.519
Co 0.491 0.008 0.500
Co 0.587 0.675 0.760
Co 0.683 0.347 0.018
P 0.008 0.993 0.413
P 0.085 0.601 0.912
P 0.086 0.756 0.605
P 0.162 0.357 0.104
P 0.508 0.997 0.912
P 0.584 0.607 0.413
P 0.585 0.755 0.105
P 0.665 0.358 0.603
O 0.004 0.801 0.924
O 0.057 0.916 0.313
O 0.106 0.433 0.203
O 0.175 0.560 0.596
O 0.188 0.526 0.016
O 0.214 0.117 0.438
O 0.273 0.109 0.925
O 0.282 0.583 0.828
O 0.298 0.888 0.611
O 0.363 0.485 0.406
O 0.387 0.769 0.190
O 0.399 0.251 0.091
O 0.463 0.229 0.576
O 0.475 0.830 0.002
O 0.501 0.804 0.426
O 0.555 0.914 0.814
O 0.608 0.433 0.702
O 0.671 0.558 0.094
O 0.691 0.527 0.515
O 0.711 0.122 0.936
O 0.774 0.105 0.427
O 0.776 0.589 0.327
O 0.799 0.881 0.113
O 0.863 0.482 0.904
O 0.887 0.773 0.689
O 0.902 0.253 0.590
O 0.961 0.228 0.077
O 0.980 0.824 0.501

(5)
CoP2O4: simulated X-ray diffraction stick pattern (copper Kα), based on DFT lattice parameters and positions (PBE+U).
Intensities are scaled so that the largest is 100.

Principal peaks in the range 15 to 90 degrees two-theta, in order of rising 2θ:
two_theta  I/Imax  index
16.37  100  0 1 0
24.30  66  1 1 1
27.08  40  1 0 2
31.86  36  2 1 0
33.08  30  0 2 0
34.02  75  2 1 1
39.22  32  0 1 3
44.99  27  2 2 1
49.78  13  2 2 2
66.47  21  2 2 4

Crystal structure
a = 6.572 Å, b = 5.416 Å, c = 7.608 Å
α = 90.00°, β = 90.00°, γ = 90.00°
Space group Pmma (No. 51)
Asymmetric unit:
Co 0.000 0.000 0.000
P 0.250 0.000 0.371
P 0.250 0.500 0.849
O 0.056 0.000 0.260
O 0.250 0.267 0.965

(6)
Co2P2O7: simulated X-ray diffraction stick pattern (copper Kα), based on DFT lattice parameters and positions (PBE+U).
Intensities are scaled so that the largest is 100.

Principal peaks in the range 15 to 90 degrees two-theta, in order of rising 2θ:
two_theta  I/Imax  index
26.72  10  1 2 0
28.92  61  1 1 1
29.91  100  1 2 -1
34.18  22  0 1 2
41.14  18  1 0 2
43.73  18  1 4 -1
45.20  14  2 2 -1
48.73  10  2 0 -2
53.84  11  0 2 3
56.68  10  2 0 2

Crystal structure
a = 4.545 Å, b = 9.946 Å, c = 5.496 Å
α = 90.00°, β = 98.16°, γ = 90.00°
Space group P2_1/c (No. 14)
Asymmetric unit:
Co 0.119 0.161 0.407
P 0.352 0.609 0.655
O 0.120 0.683 0.472
O 0.208 0.535 0.852
O 0.390 0.200 0.734
O 0.500 0.000 0.000

(7)
Co2PO5: simulated X-ray diffraction stick pattern (copper Kα), based on DFT lattice parameters and positions (PBE+U).
Intensities are scaled so that the largest is 100.

Principal peaks in the range 15 to 90 degrees two-theta, in order of rising 2θ:
two_theta  I/Imax  index
18.01  36  1 0 1
27.10  100  1 0 3
27.52  25  1 1 2
28.55  15  0 0 4
36.48  24  2 0 2
38.24  29  2 1 1
43.56  33  2 1 3
48.02  18  2 2 0
55.88  28  2 0 6
56.82  34  2 2 4

Crystal structure
a = 5.359 Å, b = 5.359 Å, c = 12.507 Å
α = 90.00°, β = 90.00°, γ = 90.00°
Space group I4_1/amd (No. 141, origin choice 2)
Asymmetric unit:
Co 0.000 0.000 0.000
P 0.000 0.250 0.375
O 0.000 0.009 0.307
O 0.000 0.250 0.875

(8)
Co3P4O14: simulated X-ray diffraction stick pattern (copper Kα), based on DFT lattice parameters and positions (PBE+U).
Intensities are scaled so that the largest is 100.

Principal peaks in the range 15 to 90 degrees two-theta, in order of rising 2θ:
two_theta  I/Imax  index
15.02  49  0 1 1
17.41  100  1 1 -1
19.81  30  1 0 -2
27.57  36  1 0 2
29.15  48  2 1 -2
29.49  70  1 2 1
29.82  66  1 1 2
30.08  87  1 2 -2
33.11  40  2 1 1
60.59  31  1 3 -5

Crystal structure
a = 7.311 Å, b = 7.937 Å, c = 9.400 Å
α = 90.00°, β = 110.23°, γ = 90.00°
Space group P2_1/c (No. 14)
Asymmetric unit:
Co 0.000 0.000 0.000
Co 0.194 0.123 0.527
P 0.107 0.711 0.802
P 0.396 0.035 0.290
O 0.004 0.212 0.871
O 0.030 0.581 0.889
O 0.123 0.617 0.377
O 0.268 0.096 0.130
O 0.321 0.653 0.815
O 0.365 0.151 0.408
O 0.390 0.506 0.188